Entry 1:
# LaHo12Co6
Simulated powder X-ray diffraction pattern, Cu Kα (λ = 1.5418 Å). Input: a crystal structure in Alexandria, relaxed with GGA-PBE.

Largest 8 diffraction maxima, low angle first, 10° ≤ 2θ ≤ 90°:
d_spacing, two_theta, I_rel
3.084, 28.95, 54
2.815, 31.78, 49
2.607, 34.41, 100
1.913, 47.54, 26
1.673, 54.89, 37
1.582, 58.32, 39
1.379, 67.97, 19
1.134, 85.69, 19

Structure:
abc: 8.4460 8.4460 8.4460
angles: 109.47 109.47 109.47
Fractional positions:
La  0.0000  0.0000  0.0000
Ho  0.1160  0.3102  0.8058
Ho  0.1942  0.5044  0.3102
Ho  0.1942  0.8840  0.6898
Ho  0.3102  0.1942  0.5044
Ho  0.3102  0.8058  0.1160
Ho  0.4956  0.6898  0.8058
Ho  0.5044  0.3102  0.1942
Ho  0.6898  0.1942  0.8840
Ho  0.6898  0.8058  0.4956
Ho  0.8058  0.1160  0.3102
Ho  0.8058  0.4956  0.6898
Ho  0.8840  0.6898  0.1942
Co  0.1133  0.5000  0.6133
Co  0.3867  0.8867  0.5000
Co  0.5000  0.3867  0.8867
Co  0.5000  0.6133  0.1133
Co  0.6133  0.1133  0.5000
Co  0.8867  0.5000  0.3867

***

Entry 2:
# AgGe2Te4
Simulated powder X-ray diffraction pattern, Cu Kα (λ = 1.5418 Å). Input: a crystal structure in Alexandria, relaxed with GGA-PBE.

Largest 8 diffraction maxima, low angle first, 10° ≤ 2θ ≤ 90°:
d_spacing, two_theta, I_rel
3.548, 25.10, 100
2.748, 32.59, 12
2.509, 35.78, 10
2.173, 41.57, 68
1.854, 49.14, 28
1.850, 49.25, 15
1.410, 66.30, 16
1.255, 75.80, 12

Structure:
abc: 6.1510 6.1510 6.1326
angles: 90.00 90.00 90.00
Fractional positions:
Ag  0.0000  0.0000  0.0000
Ge  0.0000  0.5000  0.5000
Ge  0.5000  0.0000  0.5000
Te  0.2721  0.2721  0.2346
Te  0.2721  0.7279  0.7654
Te  0.7279  0.2721  0.7654
Te  0.7279  0.7279  0.2346

***

Entry 3:
# Mg2In2Ag5
Simulated powder X-ray diffraction pattern, Cu Kα (λ = 1.5418 Å). Input: a crystal structure in Alexandria, relaxed with GGA-PBE.

Largest 8 diffraction maxima, low angle first, 10° ≤ 2θ ≤ 90°:
d_spacing, two_theta, I_rel
7.151, 12.38, 56
3.235, 27.58, 59
2.402, 37.44, 100
2.393, 37.59, 88
2.379, 37.82, 82
2.282, 39.50, 63
2.256, 39.96, 57
2.178, 41.46, 33

Structure:
abc: 5.2369 5.2695 7.4516
angles: 76.87 76.18 67.95
Fractional positions:
Mg  0.1798  0.1768  0.4291
Mg  0.8202  0.8232  0.5709
In  0.2622  0.2606  0.9652
In  0.7378  0.7394  0.0348
Ag  0.1892  0.7041  0.2120
Ag  0.2904  0.8095  0.7911
Ag  0.5000  0.5000  0.5000
Ag  0.7096  0.1905  0.2089
Ag  0.8108  0.2959  0.7880

***

Entry 4:
# Y2HoCd2
Simulated powder X-ray diffraction pattern, Cu Kα (λ = 1.5418 Å). Input: a crystal structure in Alexandria, relaxed with GGA-PBE.

Largest 8 diffraction maxima, low angle first, 10° ≤ 2θ ≤ 90°:
d_spacing, two_theta, I_rel
2.746, 32.61, 18
2.672, 33.54, 100
1.913, 47.53, 13
1.868, 48.75, 7
1.571, 58.78, 10
1.541, 60.05, 14
1.530, 60.52, 7
1.336, 70.46, 8

Structure:
abc: 3.7358 5.3329 13.8557
angles: 90.00 97.77 90.00
Fractional positions:
Y  0.0459  0.2500  0.0919
Y  0.2354  0.2500  0.4715
Y  0.7646  0.7500  0.5285
Y  0.9541  0.7500  0.9081
Ho  0.1486  0.7500  0.2967
Ho  0.8514  0.2500  0.7033
Cd  0.3589  0.7500  0.7177
Cd  0.4484  0.2500  0.8970
Cd  0.5516  0.7500  0.1030
Cd  0.6411  0.2500  0.2823

***

Entry 5:
# Y2ErAl
Simulated powder X-ray diffraction pattern, Cu Kα (λ = 1.5418 Å). Input: a crystal structure in Alexandria, relaxed with GGA-PBE.

Largest 8 diffraction maxima, low angle first, 10° ≤ 2θ ≤ 90°:
d_spacing, two_theta, I_rel
4.770, 18.60, 26
3.362, 26.51, 23
2.748, 32.59, 100
2.385, 37.72, 33
2.370, 37.97, 16
1.681, 54.60, 23
1.437, 64.87, 27
1.431, 65.22, 13

Structure:
abc: 4.7697 4.7697 4.7391
angles: 90.00 90.00 90.00
Fractional positions:
Y  0.0000  0.5000  0.0000
Y  0.5000  0.0000  0.0000
Er  0.0000  0.0000  0.5000
Al  0.5000  0.5000  0.5000

***

Entry 6:
# Dy3Ho2Al4
Simulated powder X-ray diffraction pattern, Cu Kα (λ = 1.5418 Å). Input: a crystal structure in Alexandria, relaxed with GGA-PBE.

Largest 8 diffraction maxima, low angle first, 10° ≤ 2θ ≤ 90°:
d_spacing, two_theta, I_rel
4.022, 22.10, 43
3.267, 27.30, 58
2.610, 34.37, 100
2.552, 35.17, 96
1.824, 49.99, 35
1.544, 59.89, 21
1.484, 62.59, 35
1.473, 63.11, 18

Structure:
abc: 5.1032 5.1032 9.7001
angles: 90.00 90.00 120.00
Fractional positions:
Dy  0.0000  0.0000  0.0000
Dy  0.3333  0.6667  0.5813
Dy  0.6667  0.3333  0.4187
Ho  0.3333  0.6667  0.2183
Ho  0.6667  0.3333  0.7817
Al  0.0000  0.0000  0.3510
Al  0.0000  0.0000  0.6490
Al  0.3333  0.6667  0.9012
Al  0.6667  0.3333  0.0988